This entry pairs a crystal structure of DySbN2O with its calculated powder diffraction line list. Radiation: Cu Kα. Structure: the PBE geometry in OQMD.

Most intense lines, 10 to 90 degrees two-theta, sorted by position:
| 2theta | intensity |
| --- | --- |
| 27.58 | 19 |
| 28.58 | 47 |
| 29.82 | 36 |
| 31.43 | 100 |
| 41.07 | 16 |
| 48.76 | 39 |
| 53.95 | 23 |
| 58.21 | 33 |
| 59.17 | 17 |
| 80.12 | 15 |

Structure:
```
DySbN2O
1.0
6.469 0.000 0.000
-3.235 5.602 0.000
0.000 0.000 11.984
Dy Sb N O
6 6 12 6
Cartesian
0.000 0.000 0.000 Dy
0.000 0.000 5.992 Dy
0.000 3.735 5.651 Dy
0.000 3.735 11.643 Dy
3.235 1.867 5.651 Dy
3.235 1.867 11.643 Dy
-1.079 1.869 2.805 Sb
-2.155 3.733 8.797 Sb
2.158 0.000 2.805 Sb
1.079 1.869 8.797 Sb
4.311 0.000 8.797 Sb
2.155 3.733 2.805 Sb
-1.010 1.750 4.741 N
-1.149 1.990 0.878 N
-2.085 3.612 6.870 N
-2.224 3.853 10.733 N
2.020 0.000 4.741 N
1.010 1.750 10.733 N
2.298 0.000 0.878 N
1.149 1.990 6.870 N
4.171 0.000 6.870 N
2.085 3.612 0.878 N
4.449 0.000 10.733 N
2.224 3.853 4.741 N
0.000 0.000 2.504 O
0.000 0.000 8.496 O
0.000 3.735 3.052 O
0.000 3.735 9.044 O
3.235 1.867 3.052 O
3.235 1.867 9.044 O
```

This entry pairs a crystal structure of DySbN2O with its calculated powder diffraction line list. Radiation: Cu Kα. Structure: the PBE geometry in OQMD.

Most intense lines, 10 to 90 degrees two-theta, sorted by position:
| 2theta | intensity |
| --- | --- |
| 25.11 | 10 |
| 31.48 | 21 |
| 31.67 | 100 |
| 32.68 | 23 |
| 44.79 | 13 |
| 46.01 | 17 |
| 56.17 | 10 |
| 56.53 | 11 |
| 57.69 | 20 |
| 66.15 | 10 |

Structure:
```
DySbN2O
1.0
5.684 0.000 0.000
0.000 8.094 0.000
0.000 0.000 5.481
Dy Sb N O
4 4 8 4
Cartesian
0.349 2.024 0.142 Dy
2.493 6.071 2.883 Dy
3.191 2.024 2.598 Dy
5.335 6.071 5.338 Dy
0.000 0.000 2.740 Sb
0.000 4.047 2.740 Sb
2.842 0.000 0.000 Sb
2.842 4.047 0.000 Sb
1.138 4.550 4.402 N
1.138 7.592 4.402 N
1.705 0.502 1.661 N
1.705 3.545 1.661 N
3.980 4.550 3.819 N
3.980 7.592 3.819 N
4.547 0.502 1.079 N
4.547 3.545 1.079 N
0.230 6.071 2.081 O
2.612 2.024 4.821 O
3.072 6.071 0.660 O
5.454 2.024 3.400 O
```

This entry pairs a crystal structure of DySbN2O with its calculated powder diffraction line list. Radiation: Cu Kα. Structure: the PBE geometry in OQMD.

Most intense lines, 10 to 90 degrees two-theta, sorted by position:
| 2theta | intensity |
| --- | --- |
| 31.59 | 100 |
| 31.83 | 25 |
| 32.13 | 20 |
| 44.70 | 12 |
| 45.86 | 22 |
| 55.91 | 12 |
| 56.56 | 19 |
| 56.95 | 18 |
| 65.96 | 12 |
| 75.82 | 11 |

Structure:
```
DySbN2O
1.0
-4.055 2.785 2.812
4.055 -2.785 2.812
4.055 2.785 -2.812
Dy Sb N O
2 2 4 2
Cartesian
2.028 0.176 0.000 Dy
2.028 2.609 2.812 Dy
0.000 2.785 0.025 Sb
0.000 0.000 2.837 Sb
3.488 1.401 -1.385 N
4.622 -1.384 1.426 N
0.567 1.384 1.426 N
3.488 1.384 1.426 N
2.028 -0.659 2.901 O
2.028 3.445 0.090 O
```

This entry pairs a crystal structure of DySbN2O with its calculated powder diffraction line list. Radiation: Cu Kα. Structure: the PBE geometry in OQMD.

Most intense lines, 10 to 90 degrees two-theta, sorted by position:
| 2theta | intensity |
| --- | --- |
| 31.33 | 41 |
| 31.50 | 49 |
| 31.64 | 50 |
| 31.85 | 100 |
| 32.42 | 47 |
| 33.31 | 12 |
| 45.24 | 42 |
| 46.12 | 18 |
| 56.16 | 14 |
| 66.56 | 12 |

Structure:
```
DySbN2O
1.0
7.878 0.000 0.000
0.267 8.009 0.000
0.005 0.034 8.023
Dy Sb N O
8 8 16 8
Cartesian
0.000 0.000 0.000 Dy
0.226 3.926 0.109 Dy
3.698 7.624 4.111 Dy
3.738 3.363 4.024 Dy
4.050 4.145 0.116 Dy
4.359 7.888 0.024 Dy
7.562 3.580 4.029 Dy
7.792 7.504 4.147 Dy
1.982 5.812 2.157 Sb
1.864 1.647 2.008 Sb
2.022 5.654 6.003 Sb
1.920 1.821 6.210 Sb
5.875 5.715 5.955 Sb
5.773 1.883 6.160 Sb
5.926 5.860 2.134 Sb
5.806 1.693 1.983 Sb
1.629 7.774 2.634 N
2.112 1.014 0.080 N
2.308 3.758 6.700 N
2.633 5.399 4.063 N
3.950 6.127 1.541 N
3.955 6.208 6.565 N
3.840 1.328 5.594 N
3.839 1.384 2.605 N
5.153 2.110 0.076 N
5.491 3.778 5.458 N
5.680 6.491 4.061 N
6.423 7.740 1.500 N
7.778 2.118 6.579 N
7.784 2.251 1.690 N
7.884 5.249 2.442 N
7.895 5.418 5.585 N
1.398 6.009 0.057 O
1.651 7.778 5.663 O
1.599 2.332 4.113 O
2.340 3.732 1.635 O
5.455 3.772 2.508 O
6.187 5.169 0.024 O
6.411 7.766 6.504 O
6.396 1.491 4.082 O
```

This entry pairs a crystal structure of DySbN2O with its calculated powder diffraction line list. Radiation: Cu Kα. Structure: the PBE geometry in OQMD.

Most intense lines, 10 to 90 degrees two-theta, sorted by position:
| 2theta | intensity |
| --- | --- |
| 24.91 | 9 |
| 30.89 | 21 |
| 31.93 | 100 |
| 32.07 | 25 |
| 45.13 | 19 |
| 46.42 | 12 |
| 55.60 | 11 |
| 57.08 | 22 |
| 57.54 | 11 |
| 66.74 | 10 |

Structure:
```
DySbN2O
1.0
8.039 0.000 0.000
0.000 7.825 0.000
-7.746 0.000 8.038
Dy Sb N O
8 8 16 8
Cartesian
0.277 1.952 0.196 Dy
-3.596 1.961 4.216 Dy
-3.923 5.795 7.747 Dy
-0.050 5.942 3.727 Dy
0.343 1.883 4.311 Dy
4.216 2.030 0.292 Dy
3.889 5.864 3.823 Dy
0.015 5.873 7.842 Dy
-5.702 0.039 6.089 Sb
-1.829 3.873 2.070 Sb
2.001 3.942 2.070 Sb
-1.873 7.795 6.089 Sb
2.165 0.030 1.949 Sb
-1.708 3.882 5.969 Sb
2.122 3.952 5.969 Sb
5.995 7.785 1.949 Sb
-2.170 5.833 2.658 N
-6.043 5.904 6.677 N
0.076 4.380 1.511 N
-3.797 7.357 5.531 N
-5.353 0.574 8.024 N
-1.480 3.339 4.005 N
1.444 1.959 2.283 N
-2.429 1.953 6.302 N
2.722 5.872 1.736 N
-1.152 5.865 5.755 N
1.773 4.486 4.034 N
5.646 7.251 0.014 N
4.090 0.468 2.508 N
0.217 3.445 6.527 N
6.336 1.921 1.361 N
2.463 1.992 5.381 N
-3.799 4.342 5.623 O
0.074 7.395 1.604 O
-1.341 0.332 4.004 O
-5.214 3.580 8.023 O
5.507 4.245 0.015 O
1.634 7.493 4.035 O
0.218 0.430 6.435 O
4.092 3.482 2.415 O
```

This entry pairs a crystal structure of DyScNO with its calculated powder diffraction line list. Radiation: Cu Kα. Structure: the PBE geometry in OQMD.

Most intense lines, 10 to 90 degrees two-theta, sorted by position:
| 2theta | intensity |
| --- | --- |
| 11.40 | 62 |
| 26.21 | 43 |
| 26.92 | 34 |
| 28.09 | 33 |
| 33.07 | 100 |
| 34.05 | 29 |
| 38.24 | 36 |
| 46.81 | 19 |
| 49.00 | 30 |
| 63.80 | 26 |

Structure:
```
DyScNO
1.0
7.763 0.000 0.000
0.000 6.353 0.000
0.000 0.000 4.707
Dy Sc N O
4 4 4 4
Cartesian
1.009 0.398 1.177 Dy
1.009 2.778 3.530 Dy
6.754 3.574 1.177 Dy
6.754 5.955 3.530 Dy
2.971 3.735 1.177 Sc
2.971 5.794 3.530 Sc
4.793 0.559 1.177 Sc
4.793 2.618 3.530 Sc
3.015 3.694 3.530 N
3.015 5.835 1.177 N
4.748 0.518 3.530 N
4.748 2.659 1.177 N
1.146 0.547 3.530 O
1.146 2.629 1.177 O
6.618 3.724 3.530 O
6.618 5.806 1.177 O
```

This entry pairs a crystal structure of SmDyNO with its calculated powder diffraction line list. Radiation: Cu Kα. Structure: the PBE geometry in OQMD.

Most intense lines, 10 to 90 degrees two-theta, sorted by position:
| 2theta | intensity |
| --- | --- |
| 25.58 | 43 |
| 31.43 | 100 |
| 36.38 | 22 |
| 45.02 | 30 |
| 45.12 | 24 |
| 56.00 | 21 |
| 59.27 | 31 |
| 62.39 | 15 |
| 74.67 | 12 |
| 83.16 | 8 |

Structure:
```
SmDyNO
1.0
4.939 0.000 0.000
0.000 4.025 0.000
0.000 0.000 6.957
Sm Dy N O
2 2 2 2
Cartesian
1.235 0.000 1.145 Sm
3.704 0.000 5.812 Sm
1.235 2.012 4.639 Dy
3.704 2.012 2.318 Dy
1.235 2.012 2.378 N
3.704 2.012 4.579 N
1.235 0.000 5.666 O
3.704 0.000 1.291 O
```

This entry pairs a crystal structure of SmDyNO with its calculated powder diffraction line list. Radiation: Cu Kα. Structure: the PBE geometry in OQMD.

Most intense lines, 10 to 90 degrees two-theta, sorted by position:
| 2theta | intensity |
| --- | --- |
| 25.58 | 35 |
| 26.65 | 23 |
| 31.23 | 100 |
| 32.13 | 39 |
| 35.65 | 33 |
| 44.41 | 33 |
| 46.41 | 30 |
| 55.88 | 17 |
| 58.18 | 26 |
| 59.87 | 28 |

Structure:
```
SmDyNO
1.0
8.156 0.000 0.000
0.000 6.689 0.000
0.000 0.000 5.036
Sm Dy N O
4 4 4 4
Cartesian
1.052 0.541 1.259 Sm
1.052 2.804 3.777 Sm
7.104 3.885 1.259 Sm
7.104 6.149 3.777 Sm
3.094 3.830 1.259 Dy
3.094 6.203 3.777 Dy
5.062 0.486 1.259 Dy
5.062 2.859 3.777 Dy
1.070 0.435 3.777 N
1.070 2.909 1.259 N
7.086 3.780 3.777 N
7.086 6.254 1.259 N
3.080 3.987 3.777 O
3.080 6.046 1.259 O
5.076 0.643 3.777 O
5.076 2.702 1.259 O
```

This entry pairs a crystal structure of DyTaN2O with its calculated powder diffraction line list. Radiation: Cu Kα. Structure: the PBE geometry in OQMD.

Most intense lines, 10 to 90 degrees two-theta, sorted by position:
| 2theta | intensity |
| --- | --- |
| 31.97 | 100 |
| 32.34 | 21 |
| 45.59 | 10 |
| 46.11 | 17 |
| 56.75 | 8 |
| 56.98 | 24 |
| 57.45 | 17 |
| 66.85 | 13 |
| 75.64 | 7 |
| 76.42 | 5 |

Structure:
```
DyTaN2O
1.0
7.874 0.000 0.000
0.000 7.960 0.000
-7.784 0.000 7.874
Dy Ta N O
8 8 16 8
Cartesian
-2.011 0.077 3.741 Dy
-5.903 3.903 7.678 Dy
-1.978 4.012 3.895 Dy
-5.870 7.928 7.832 Dy
5.960 0.032 0.042 Dy
2.068 3.948 3.979 Dy
5.993 4.057 0.196 Dy
2.101 7.883 4.133 Dy
0.107 1.985 2.012 Ta
-3.785 1.995 5.949 Ta
-3.821 5.936 6.008 Ta
0.071 6.004 2.071 Ta
0.019 1.956 5.803 Ta
3.911 2.024 1.866 Ta
3.876 5.965 1.925 Ta
-0.016 5.975 5.862 Ta
-0.167 0.030 1.597 N
-4.058 3.950 5.534 N
-0.209 4.010 2.106 N
-4.101 7.930 6.043 N
-1.907 1.898 5.326 N
1.985 2.082 1.389 N
3.371 5.714 0.016 N
-0.521 6.226 3.953 N
0.611 1.734 3.921 N
-3.281 2.246 7.858 N
-1.895 5.878 6.485 N
1.997 6.062 2.548 N
4.191 0.030 1.831 N
0.299 3.950 5.768 N
4.149 4.010 2.340 N
0.257 7.930 6.277 N
0.590 5.754 0.015 O
-3.302 6.186 3.952 O
-5.832 1.954 6.526 O
-1.940 2.026 2.589 O
2.030 5.934 5.285 O
5.922 6.006 1.348 O
3.392 1.774 3.922 O
-0.500 2.206 7.859 O
```